Diffraction record for V5O12. The powder X-ray diffraction pattern is calculated, not measured: it uses the GGA+U geometry in Alexandria and a wavelength of 1.5418 Å.

Largest 10 diffraction maxima, by angle, 2θ from 5° to 70°:
d 4.859, intensity 55
d 4.773, intensity 69
d 4.433, intensity 62
d 3.481, intensity 73
d 3.155, intensity 100
d 2.995, intensity 61
d 2.904, intensity 24
d 2.811, intensity 49
d 2.562, intensity 24
d 1.987, intensity 38

Crystal structure
abc: 6.751 6.751 5.997
angles: 105.23 105.23 82.09
Element x y z (fractional)
V  0.000  0.000  0.000
V  0.134  0.466  0.017
V  0.295  0.272  0.492
V  0.534  0.866  0.983
V  0.728  0.705  0.508
O  0.022  0.712  0.042
O  0.103  0.100  0.325
O  0.277  0.406  0.793
O  0.288  0.978  0.958
O  0.294  0.442  0.300
O  0.512  0.135  0.516
O  0.558  0.706  0.700
O  0.594  0.723  0.207
O  0.711  0.041  0.049
O  0.865  0.488  0.484
O  0.900  0.897  0.675
O  0.959  0.289  0.951